This entry pairs a crystal structure of CaB2H with its calculated X-ray diffraction stick pattern. Radiation: λ = 1.5418 Å (Cu Kα). Structure: a structure optimized by DFT (PBE).
Peak positions follow from Bragg's law for the DFT cell and can differ from measured ones.

The 6 most intense peaks (2θ from 15° to 90°), by angle:
2θ/deg  intensity
26.81  46
30.04  100
30.60  68
37.15  61
42.07  82
42.40  48

Crystal structure
a b c (Å): 17.2914 3.1685 3.3887
angles (deg): 90.00 90.00 90.00
Positions (direct):
Ca (0.1190, 0.2500, 0.0081)
Ca (0.3810, 0.7500, 0.5081)
Ca (0.6190, 0.2500, 0.4919)
Ca (0.8810, 0.7500, 0.9919)
B (0.0141, 0.7500, 0.5436)
B (0.2485, 0.2500, 0.5060)
B (0.2515, 0.7500, 0.0060)
B (0.4859, 0.2500, 0.0436)
B (0.5141, 0.7500, 0.9564)
B (0.7485, 0.2500, 0.9940)
B (0.7515, 0.7500, 0.4940)
B (0.9859, 0.2500, 0.4564)
H (0.0561, 0.7500, 0.8309)
H (0.4439, 0.2500, 0.3309)
H (0.5561, 0.7500, 0.6691)
H (0.9439, 0.2500, 0.1691)

***

This entry pairs a crystal structure of CaB2H8 with its calculated X-ray diffraction stick pattern. Radiation: λ = 1.5418 Å (Cu Kα). Structure: a structure optimized by DFT (PBE).
Peak positions follow from Bragg's law for the DFT cell and can differ from measured ones.

The 6 most intense peaks (2θ from 15° to 90°), by angle:
2θ/deg  intensity
17.94  100
24.09  52
35.35  69
36.34  19
40.81  16
44.08  25

Crystal structure
a b c (Å): 6.9926 6.9926 4.3505
angles (deg): 90.00 90.00 90.00
Positions (direct):
Ca (0.0000, 0.5000, 0.2471)
Ca (0.5000, 0.0000, 0.7529)
B (0.1851, 0.7001, 0.7472)
B (0.2999, 0.1851, 0.2528)
B (0.7001, 0.8149, 0.2528)
B (0.8149, 0.2999, 0.7472)
H (0.0116, 0.6708, 0.7454)
H (0.1255, 0.1976, 0.2400)
H (0.1976, 0.8745, 0.7600)
H (0.2624, 0.6251, 0.9689)
H (0.2617, 0.6380, 0.5149)
H (0.3292, 0.0116, 0.2546)
H (0.3620, 0.2617, 0.4851)
H (0.3749, 0.2624, 0.0311)
H (0.6251, 0.7376, 0.0311)
H (0.6380, 0.7383, 0.4851)
H (0.6708, 0.9884, 0.2546)
H (0.7383, 0.3620, 0.5149)
H (0.7376, 0.3749, 0.9689)
H (0.8024, 0.1255, 0.7600)
H (0.8745, 0.8024, 0.2400)
H (0.9884, 0.3292, 0.7454)

***

This entry pairs a crystal structure of CaB2H3 with its calculated X-ray diffraction stick pattern. Radiation: λ = 1.5418 Å (Cu Kα). Structure: a structure optimized by DFT (PBE).
Peak positions follow from Bragg's law for the DFT cell and can differ from measured ones.

The 6 most intense peaks (2θ from 15° to 90°), by angle:
2θ/deg  intensity
25.56  47
28.17  80
29.81  50
36.98  48
39.96  100
41.94  40

Crystal structure
a b c (Å): 16.6198 3.4265 3.5641
angles (deg): 90.00 90.00 90.00
Positions (direct):
Ca (0.1138, 0.2500, 0.0102)
Ca (0.3862, 0.7500, 0.5102)
Ca (0.6138, 0.2500, 0.4898)
Ca (0.8862, 0.7500, 0.9898)
B (0.0223, 0.7500, 0.5512)
B (0.2492, 0.7500, 0.9816)
B (0.2508, 0.2500, 0.4816)
B (0.4777, 0.2500, 0.0512)
B (0.5223, 0.7500, 0.9488)
B (0.7492, 0.7500, 0.5184)
B (0.7508, 0.2500, 0.0184)
B (0.9777, 0.2500, 0.4488)
H (0.0298, 0.7500, 0.8952)
H (0.0949, 0.7500, 0.4579)
H (0.1770, 0.7500, 0.9480)
H (0.3230, 0.2500, 0.4480)
H (0.4051, 0.2500, 0.9579)
H (0.4702, 0.2500, 0.3952)
H (0.5298, 0.7500, 0.6048)
H (0.5949, 0.7500, 0.0421)
H (0.6770, 0.7500, 0.5520)
H (0.8230, 0.2500, 0.0520)
H (0.9051, 0.2500, 0.5421)
H (0.9702, 0.2500, 0.1048)

***

This entry pairs a crystal structure of CaB2H8 with its calculated X-ray diffraction stick pattern. Radiation: λ = 1.5418 Å (Cu Kα). Structure: a structure optimized by DFT (PBE).
Peak positions follow from Bragg's law for the DFT cell and can differ from measured ones.

The 6 most intense peaks (2θ from 15° to 90°), by angle:
2θ/deg  intensity
17.98  100
24.06  53
35.36  69
36.41  19
40.89  16
44.12  25

Crystal structure
a b c (Å): 6.9789 6.9789 4.3620
angles (deg): 90.00 90.00 90.00
Positions (direct):
Ca (0.0000, 0.5000, 0.0000)
Ca (0.5000, 0.0000, 0.5000)
B (0.1836, 0.7016, 0.5000)
B (0.2984, 0.1836, 0.0000)
B (0.7016, 0.8164, 0.0000)
B (0.8164, 0.2984, 0.5000)
H (0.0099, 0.6714, 0.5000)
H (0.1232, 0.1951, 0.0000)
H (0.1951, 0.8768, 0.5000)
H (0.2611, 0.6336, 0.2731)
H (0.2611, 0.6336, 0.7269)
H (0.3286, 0.0099, 0.0000)
H (0.3664, 0.2611, 0.2269)
H (0.3664, 0.2611, 0.7731)
H (0.6336, 0.7389, 0.2269)
H (0.6336, 0.7389, 0.7731)
H (0.6714, 0.9901, 0.0000)
H (0.7389, 0.3664, 0.2731)
H (0.7389, 0.3664, 0.7269)
H (0.8049, 0.1232, 0.5000)
H (0.8768, 0.8049, 0.0000)
H (0.9901, 0.3286, 0.5000)

***

This entry pairs a crystal structure of CaB2H8 with its calculated X-ray diffraction stick pattern. Radiation: λ = 1.5418 Å (Cu Kα). Structure: a structure optimized by DFT (PBE).
Peak positions follow from Bragg's law for the DFT cell and can differ from measured ones.

The 6 most intense peaks (2θ from 15° to 90°), by angle:
2θ/deg  intensity
16.81  100
25.04  10
26.18  20
31.28  28
33.20  18
36.55  17

Crystal structure
a b c (Å): 5.8049 5.8049 7.7542
angles (deg): 107.95 107.95 99.81
Positions (direct):
Ca (0.1418, 0.8582, 0.7500)
Ca (0.8582, 0.1418, 0.2500)
B (0.0558, 0.3276, 0.6690)
B (0.3276, 0.0558, 0.1690)
B (0.6724, 0.9442, 0.8310)
B (0.9442, 0.6724, 0.3310)
H (0.0268, 0.5196, 0.2387)
H (0.1278, 0.8563, 0.4433)
H (0.1437, 0.8722, 0.0567)
H (0.1660, 0.4149, 0.5793)
H (0.2135, 0.2752, 0.7850)
H (0.2752, 0.2135, 0.2850)
H (0.4149, 0.1660, 0.0793)
H (0.4804, 0.9732, 0.2613)
H (0.5196, 0.0268, 0.7387)
H (0.5851, 0.8340, 0.9207)
H (0.7248, 0.7865, 0.7150)
H (0.7865, 0.7248, 0.2150)
H (0.8340, 0.5851, 0.4207)
H (0.8563, 0.1278, 0.9433)
H (0.8722, 0.1437, 0.5567)
H (0.9732, 0.4804, 0.7613)

***

This entry pairs a crystal structure of CaB2H8 with its calculated X-ray diffraction stick pattern. Radiation: λ = 1.5418 Å (Cu Kα). Structure: a structure optimized by DFT (PBE).
Peak positions follow from Bragg's law for the DFT cell and can differ from measured ones.

The 6 most intense peaks (2θ from 15° to 90°), by angle:
2θ/deg  intensity
17.47  100
19.14  58
26.03  74
26.26  65
28.68  69
36.18  45

Crystal structure
a b c (Å): 7.8784 7.8784 7.8832
angles (deg): 119.23 119.23 80.21
Positions (direct):
Ca (0.0161, 0.9839, 0.7500)
Ca (0.9839, 0.0161, 0.2500)
B (0.0182, 0.2733, 0.1198)
B (0.2733, 0.0182, 0.6198)
B (0.7267, 0.9818, 0.3802)
B (0.9818, 0.7267, 0.8802)
H (0.0015, 0.5554, 0.7935)
H (0.1290, 0.8414, 0.0179)
H (0.1586, 0.8710, 0.4821)
H (0.1757, 0.2166, 0.1313)
H (0.2166, 0.1757, 0.6313)
H (0.2845, 0.4890, 0.7502)
H (0.4446, 0.9985, 0.7065)
H (0.4890, 0.2845, 0.2502)
H (0.5110, 0.7155, 0.7498)
H (0.5554, 0.0015, 0.2935)
H (0.7155, 0.5110, 0.2498)
H (0.7834, 0.8243, 0.3687)
H (0.8243, 0.7834, 0.8687)
H (0.8414, 0.1290, 0.5179)
H (0.8710, 0.1586, 0.9821)
H (0.9985, 0.4446, 0.2065)